Computed powder X-ray diffraction pattern
Compound: NaInSiSe4
Radiation: copper Kα
Structure: a structure optimized by DFT (GGA-PBE)
Kinematic intensities with the Lorentz-polarization factor, no thermal factor.

Atomic structure:
```
NaInSiSe4
1.0
4.0806 -6.2368 0.0000
4.0806 6.2368 0.0000
0.0000 0.0000 7.8363
Na In Si Se
2 2 2 8
Direct
0.0000 0.0000 0.0000
0.0000 0.0000 0.5000
0.3668 0.6332 0.7500
0.6332 0.3668 0.2500
0.3628 0.6372 0.2500
0.6372 0.3628 0.7500
0.2456 0.7544 0.0242
0.2456 0.7544 0.4758
0.2573 0.3001 0.2500
0.3001 0.2573 0.7500
0.6999 0.7427 0.2500
0.7427 0.6999 0.7500
0.7544 0.2456 0.5242
0.7544 0.2456 0.9758
```

Largest 10 diffraction maxima, sorted by position, 2θ = 10–80°:
2θ (°)	d/Å	I_rel
13.0	6.829	487
21.8	4.081	258
26.1	3.415	873
26.2	3.399	473
26.9	3.318	652
28.5	3.130	262
36.8	2.440	268
43.2	2.094	1000
44.4	2.040	234
46.3	1.959	216